(1)
For Sm2Cu3As3, DFT lattice parameters and positions (PBE) gives the theoretical powder diffraction line list in this record (Cu Kα (λ = 1.5418 Å)).

```
Sm2Cu3As3
1.0
13.420 0.000 0.000
0.000 4.038 0.000
0.000 0.000 11.073
Sm Cu As
8 12 12
direct
0.004 0.250 0.158
0.203 0.750 0.570
0.297 0.250 0.070
0.496 0.750 0.658
0.504 0.250 0.342
0.703 0.750 0.930
0.797 0.250 0.430
0.996 0.750 0.842
0.013 0.250 0.607
0.167 0.750 0.276
0.224 0.750 0.858
0.276 0.250 0.358
0.333 0.250 0.776
0.487 0.750 0.107
0.513 0.250 0.893
0.667 0.750 0.224
0.724 0.750 0.642
0.776 0.250 0.142
0.833 0.250 0.724
0.987 0.750 0.393
0.096 0.250 0.400
0.134 0.750 0.057
0.145 0.250 0.765
0.355 0.750 0.265
0.366 0.250 0.557
0.404 0.750 0.900
0.596 0.250 0.100
0.634 0.750 0.443
0.645 0.250 0.735
0.855 0.750 0.235
0.866 0.250 0.943
0.904 0.750 0.600
```

Principal peaks in the range 10° ≤ 2θ ≤ 90°, low angle first:
Position (°2θ)	d_spacing	I/Imax
30.9	2.893	32
32.9	2.724	45
33.0	2.711	38
34.0	2.636	100
34.8	2.581	47
35.6	2.524	38
35.7	2.513	55
40.1	2.251	32
43.7	2.073	36
44.9	2.019	65

(2)
For SmZnCuAs2, DFT lattice parameters and positions (PBE) gives the theoretical powder diffraction line list in this record (Cu Kα (λ = 1.5418 Å)).

```
SmZnCuAs2
1.0
4.157 0.000 0.000
-2.079 3.600 0.000
0.000 0.000 6.793
Sm Zn Cu As
1 1 1 2
direct
0.000 0.000 0.000
0.667 0.333 0.390
0.333 0.667 0.657
0.333 0.667 0.273
0.667 0.333 0.759
```

Principal peaks in the range 10° ≤ 2θ ≤ 90°, low angle first:
Position (°2θ)	d_spacing	I/Imax
28.0	3.181	100
36.4	2.471	80
39.8	2.264	12
43.5	2.079	71
47.4	1.917	28
52.6	1.740	17
58.0	1.591	20
60.5	1.531	20
70.6	1.334	14
75.2	1.263	18

(3)
For SrCu4As2, DFT lattice parameters and positions (PBE) gives the theoretical powder diffraction line list in this record (Cu Kα (λ = 1.5418 Å)).

```
SrCu4As2
1.0
2.100 1.212 7.862
-2.100 1.212 7.862
0.000 -2.424 7.862
Sr Cu As
1 4 2
direct
0.000 0.000 0.000
0.144 0.144 0.144
0.440 0.440 0.440
0.560 0.560 0.560
0.856 0.856 0.856
0.249 0.249 0.249
0.751 0.751 0.751
```

Principal peaks in the range 10° ≤ 2θ ≤ 90°, low angle first:
Position (°2θ)	d_spacing	I/Imax
11.3	7.862	34
28.8	3.095	19
36.3	2.472	69
39.3	2.290	16
43.1	2.100	100
45.9	1.979	29
56.1	1.639	12
57.6	1.600	17
74.6	1.273	15
79.0	1.212	16

(4)
For TbZnCuAs2, DFT lattice parameters and positions (PBE) gives the theoretical powder diffraction line list in this record (Cu Kα (λ = 1.5418 Å)).

```
TbZnCuAs2
1.0
4.126 0.000 0.000
-2.063 3.573 0.000
0.000 0.000 6.724
Tb Zn Cu As
1 1 1 2
direct
0.000 0.000 0.000
0.667 0.333 0.392
0.333 0.667 0.656
0.333 0.667 0.269
0.667 0.333 0.764
```

Principal peaks in the range 10° ≤ 2θ ≤ 90°, low angle first:
Position (°2θ)	d_spacing	I/Imax
28.3	3.155	100
36.7	2.448	81
43.9	2.063	70
47.9	1.899	29
53.0	1.727	17
58.5	1.578	20
61.1	1.518	18
71.2	1.324	14
75.9	1.253	19
80.7	1.191	11

(5)
For TmCuAs2, DFT lattice parameters and positions (PBE) gives the theoretical powder diffraction line list in this record (Cu Kα (λ = 1.5418 Å)).

```
TmCuAs2
1.0
3.876 0.000 0.000
0.000 3.876 0.000
0.000 0.000 9.794
Tm Cu As
2 2 4
direct
0.250 0.250 0.237
0.750 0.750 0.763
0.250 0.750 0.500
0.750 0.250 0.500
0.250 0.250 0.665
0.250 0.750 0.000
0.750 0.250 0.000
0.750 0.750 0.335
```

Principal peaks in the range 10° ≤ 2θ ≤ 90°, low angle first:
Position (°2θ)	d_spacing	I/Imax
24.7	3.604	24
29.4	3.039	14
36.0	2.497	25
36.7	2.448	15
37.6	2.392	100
46.9	1.938	33
52.3	1.748	16
61.0	1.520	14
72.9	1.298	12
80.8	1.189	22

(6)
For UCu2As2, DFT lattice parameters and positions (PBE) gives the theoretical powder diffraction line list in this record (Cu Kα (λ = 1.5418 Å)).

```
UCu2As2
1.0
4.060 0.000 0.000
-2.030 3.516 0.000
0.000 0.000 6.562
U Cu As
1 2 2
direct
0.000 0.000 0.000
0.333 0.667 0.364
0.667 0.333 0.636
0.333 0.667 0.746
0.667 0.333 0.254
```

Principal peaks in the range 10° ≤ 2θ ≤ 90°, low angle first:
Position (°2θ)	d_spacing	I/Imax
13.5	6.562	20
28.8	3.099	100
37.5	2.399	72
44.6	2.030	53
49.1	1.857	20
54.0	1.698	18
59.7	1.550	19
62.4	1.488	26
72.6	1.302	15
77.5	1.232	18

(7)
For U2Cu4As5, DFT lattice parameters and positions (PBE) gives the theoretical powder diffraction line list in this record (Cu Kα (λ = 1.5418 Å)).

```
U2Cu4As5
1.0
-1.996 1.996 12.152
1.996 -1.996 12.152
1.996 1.996 -12.152
U Cu As
2 4 5
direct
0.158 0.158 0.000
0.842 0.842 0.000
0.058 0.558 0.500
0.442 0.942 0.500
0.558 0.058 0.500
0.942 0.442 0.500
0.000 0.000 0.000
0.250 0.750 0.500
0.376 0.376 0.000
0.624 0.624 0.000
0.750 0.250 0.500
```

Principal peaks in the range 10° ≤ 2θ ≤ 90°, low angle first:
Position (°2θ)	d_spacing	I/Imax
22.6	3.939	27
24.9	3.581	31
28.9	3.085	30
34.2	2.620	23
35.1	2.560	65
38.9	2.316	100
40.3	2.237	26
45.4	1.996	60
54.2	1.693	23
79.5	1.205	25

(8)
For YCuAs2, DFT lattice parameters and positions (PBE) gives the theoretical powder diffraction line list in this record (Cu Kα (λ = 1.5418 Å)).

```
YCuAs2
1.0
3.908 0.000 0.000
0.000 3.908 0.000
0.000 0.000 9.931
Y Cu As
2 2 4
direct
0.250 0.250 0.238
0.750 0.750 0.762
0.250 0.750 0.500
0.750 0.250 0.500
0.250 0.250 0.660
0.250 0.750 0.000
0.750 0.250 0.000
0.750 0.750 0.340
```

Principal peaks in the range 10° ≤ 2θ ≤ 90°, low angle first:
Position (°2θ)	d_spacing	I/Imax
29.1	3.071	19
35.5	2.526	15
36.2	2.483	13
37.2	2.414	100
46.5	1.954	36
51.6	1.771	13
60.3	1.535	11
67.8	1.382	11
72.0	1.312	9
80.0	1.199	20

(9)
For Dy3As, DFT lattice parameters and positions (PBE) gives the theoretical powder diffraction line list in this record (Cu Kα (λ = 1.5418 Å)).

```
Dy3As
1.0
4.492 0.000 0.000
0.000 4.492 0.000
0.000 0.000 10.287
Dy As
6 2
direct
0.000 0.000 0.000
0.000 0.500 0.250
0.000 0.500 0.750
0.500 0.000 0.250
0.500 0.000 0.750
0.500 0.500 0.500
0.000 0.000 0.500
0.500 0.500 0.000
```

Principal peaks in the range 10° ≤ 2θ ≤ 90°, low angle first:
Position (°2θ)	d_spacing	I/Imax
33.2	2.702	100
34.9	2.572	22
40.2	2.246	30
54.2	1.692	25
58.1	1.588	10
61.5	1.509	17
68.5	1.369	24
69.6	1.351	12
87.4	1.116	7
89.6	1.094	13

(10)
For DyAs, DFT lattice parameters and positions (PBE) gives the theoretical powder diffraction line list in this record (Cu Kα (λ = 1.5418 Å)).

```
DyAs
1.0
5.826 0.000 0.000
0.000 5.826 0.000
0.000 0.000 5.826
Dy As
4 4
direct
0.000 0.000 0.000
0.000 0.500 0.500
0.500 0.000 0.500
0.500 0.500 0.000
0.000 0.000 0.500
0.000 0.500 0.000
0.500 0.000 0.000
0.500 0.500 0.500
```

Principal peaks in the range 10° ≤ 2θ ≤ 90°, low angle first:
Position (°2θ)	d_spacing	I/Imax
26.5	3.364	23
30.7	2.913	100
44.0	2.060	75
52.1	1.757	11
54.6	1.682	26
63.9	1.457	12
70.4	1.337	5
72.6	1.303	34
80.8	1.189	25
86.9	1.121	4

(11)
For DyAs, DFT lattice parameters and positions (PBE) gives the theoretical powder diffraction line list in this record (Cu Kα (λ = 1.5418 Å)).

```
DyAs
1.0
3.577 0.000 0.000
0.000 3.577 0.000
0.000 0.000 3.577
Dy As
1 1
direct
0.000 0.000 0.000
0.500 0.500 0.500
```

Principal peaks in the range 10° ≤ 2θ ≤ 90°, low angle first:
Position (°2θ)	d_spacing	I/Imax
24.9	3.577	15
35.5	2.529	100
43.8	2.065	5
51.1	1.788	18
57.6	1.599	6
63.7	1.460	36
75.1	1.264	11
80.6	1.192	3
85.9	1.131	16